# 1
Starting from a DFT-relaxed cell (PBE, Alexandria), the X-ray diffraction stick pattern of ErPaIrRh was simulated for Cu Kα (λ = 1.5418 Å).
Peak positions follow from Bragg's law for the DFT cell and can differ from measured ones.

Largest 10 diffraction maxima, low angle first, 2θ = 5–70°:
- 32.97 deg, rel. 100
- 34.15 deg, rel. 33
- 35.00 deg, rel. 16
- 40.43 deg, rel. 15
- 41.17 deg, rel. 54
- 42.74 deg, rel. 25
- 48.35 deg, rel. 18
- 55.81 deg, rel. 16
- 60.52 deg, rel. 13
- 66.49 deg, rel. 14

```
ErPaIrRh
1.0
4.231 0.000 0.000
0.000 1.882 5.251
0.000 -1.882 5.251
Er Pa Ir Rh
1 1 1 1
direct
0.000 0.000 0.000
0.500 0.720 0.720
0.000 0.270 0.270
0.500 0.462 0.462
```

---

# 2
Starting from a DFT-relaxed cell (PBE, Alexandria), the X-ray diffraction stick pattern of YCoHg2 was simulated for Cu Kα (λ = 1.5418 Å).
Peak positions follow from Bragg's law for the DFT cell and can differ from measured ones.

Largest 10 diffraction maxima, low angle first, 2θ = 5–70°:
- 19.89 deg, rel. 41
- 26.51 deg, rel. 22
- 33.35 deg, rel. 100
- 35.55 deg, rel. 67
- 38.94 deg, rel. 73
- 40.41 deg, rel. 36
- 41.06 deg, rel. 32
- 54.90 deg, rel. 42
- 66.54 deg, rel. 18
- 69.66 deg, rel. 23

```
YCoHg2
1.0
3.539 0.000 0.000
0.000 4.464 0.000
-1.766 0.000 5.408
Y Co Hg
1 1 2
direct
0.000 0.000 0.000
0.000 0.000 0.500
0.362 0.500 0.721
0.638 0.500 0.279
```

---

# 3
Starting from a DFT-relaxed cell (PBE, Alexandria), the X-ray diffraction stick pattern of Th2SiBRh6 was simulated for Cu Kα (λ = 1.5418 Å).
Peak positions follow from Bragg's law for the DFT cell and can differ from measured ones.

Largest 10 diffraction maxima, low angle first, 2θ = 5–70°:
- 20.06 deg, rel. 7
- 20.36 deg, rel. 3
- 28.52 deg, rel. 6
- 28.73 deg, rel. 12
- 35.29 deg, rel. 100
- 40.77 deg, rel. 39
- 41.40 deg, rel. 18
- 50.64 deg, rel. 5
- 59.03 deg, rel. 13
- 59.50 deg, rel. 24

```
Th2SiBRh6
1.0
4.426 0.000 0.000
0.000 4.426 0.000
0.000 0.000 8.724
Th Si B Rh
2 1 1 6
direct
0.000 0.000 0.244
0.000 0.000 0.756
0.500 0.500 0.500
0.500 0.500 0.000
0.000 0.500 0.000
0.000 0.500 0.500
0.500 0.000 0.000
0.500 0.000 0.500
0.500 0.500 0.233
0.500 0.500 0.767
```

---

# 4
Starting from a DFT-relaxed cell (PBE, Alexandria), the X-ray diffraction stick pattern of Ta2CdAu was simulated for Cu Kα (λ = 1.5418 Å).
Peak positions follow from Bragg's law for the DFT cell and can differ from measured ones.

Largest 10 diffraction maxima, low angle first, 2θ = 5–70°:
- 17.03 deg, rel. 5
- 36.15 deg, rel. 53
- 36.94 deg, rel. 100
- 37.90 deg, rel. 46
- 42.60 deg, rel. 32
- 43.15 deg, rel. 65
- 61.05 deg, rel. 22
- 62.55 deg, rel. 11
- 62.80 deg, rel. 10
- 63.43 deg, rel. 20

```
Ta2CdAu
1.0
4.832 -1.485 0.000
4.832 1.485 0.000
-0.983 0.000 5.205
Ta Cd Au
2 1 1
direct
0.000 0.000 0.000
0.738 0.738 0.217
0.239 0.239 0.721
0.483 0.483 0.486
```

---

# 5
Starting from a DFT-relaxed cell (PBE, Alexandria), the X-ray diffraction stick pattern of Ti4InO was simulated for Cu Kα (λ = 1.5418 Å).
Peak positions follow from Bragg's law for the DFT cell and can differ from measured ones.

Largest 10 diffraction maxima, low angle first, 2θ = 5–70°:
- 25.93 deg, rel. 20
- 31.55 deg, rel. 24
- 37.39 deg, rel. 90
- 37.56 deg, rel. 100
- 40.00 deg, rel. 60
- 40.49 deg, rel. 51
- 41.63 deg, rel. 14
- 49.60 deg, rel. 17
- 58.23 deg, rel. 37
- 65.88 deg, rel. 14

```
Ti4InO
1.0
2.228 -7.100 0.000
2.228 7.100 0.000
0.000 0.000 5.835
Ti In O
8 2 2
direct
0.000 0.000 0.000
0.000 0.000 0.500
0.203 0.797 0.503
0.203 0.797 0.997
0.394 0.606 0.250
0.606 0.394 0.750
0.797 0.203 0.003
0.797 0.203 0.497
0.393 0.607 0.750
0.607 0.393 0.250
0.102 0.898 0.750
0.898 0.102 0.250
```

---

# 6
Starting from a DFT-relaxed cell (PBE, Alexandria), the X-ray diffraction stick pattern of LiPr4Te6 was simulated for Cu Kα (λ = 1.5418 Å).
Peak positions follow from Bragg's law for the DFT cell and can differ from measured ones.

Largest 10 diffraction maxima, low angle first, 2θ = 5–70°:
- 22.43 deg, rel. 38
- 28.17 deg, rel. 40
- 28.68 deg, rel. 72
- 29.37 deg, rel. 42
- 30.34 deg, rel. 81
- 34.90 deg, rel. 100
- 35.89 deg, rel. 81
- 41.01 deg, rel. 71
- 51.24 deg, rel. 35
- 55.62 deg, rel. 45

```
LiPr4Te6
1.0
4.401 -4.402 0.000
4.401 4.402 0.000
-4.392 0.000 9.123
Li Pr Te
1 4 6
direct
0.000 0.000 0.000
0.125 0.125 0.728
0.397 0.878 0.272
0.606 0.606 0.728
0.878 0.397 0.272
0.002 0.502 0.000
0.062 0.578 0.637
0.425 0.425 0.363
0.502 0.002 0.000
0.578 0.062 0.637
0.941 0.941 0.362
```